Theoretical powder diffractogram of FeNiSb6 for Cu Kα (λ = 1.5418 Å), from the PBE geometry in the Materials Project.

Atomic structure:
a = 7.8992 Å, b = 7.8992 Å, c = 9.1288 Å
α = 125.17°, β = 125.17°, γ = 70.61°
Fractional positions:
1 Fe 0.0000 0.5000 0.0000
2 Fe 0.5000 0.0000 0.0000
3 Ni 0.0000 0.5000 0.5000
4 Ni 0.5000 0.0000 0.5000
5 Sb 0.1548 0.8362 0.3301
6 Sb 0.1638 0.8452 0.6699
7 Sb 0.1757 0.5065 0.8448
8 Sb 0.3296 0.3296 0.1683
9 Sb 0.3384 0.3384 0.4958
10 Sb 0.4935 0.8243 0.1552
11 Sb 0.5065 0.1757 0.8448
12 Sb 0.6616 0.6616 0.5042
13 Sb 0.6704 0.6704 0.8317
14 Sb 0.8243 0.4935 0.1552
15 Sb 0.8362 0.1548 0.3301
16 Sb 0.8452 0.1638 0.6699

The 6 most intense peaks (2θ = 15–90°), low angle first:
- 30.97 deg, d 2.887, intensity 100
- 36.82 deg, d 2.441, intensity 32
- 44.36 deg, d 2.042, intensity 20
- 48.84 deg, d 1.865, intensity 11
- 50.98 deg, d 1.791, intensity 14
- 58.95 deg, d 1.567, intensity 12